Structure and theoretical PXRD pattern of KSrMnSnO6 (DFT lattice parameters and positions (GGA+U); Cu Kα, 1.54184 Å).

Structural model:
abc: 5.6740 5.6740 5.6740
angles: 60.00 60.00 60.00
Fractional coordinates of all 10 atoms:
K  0.0000  0.0000  0.0000
Sr  0.5000  0.5000  0.5000
Mn  0.2500  0.2500  0.2500
Sn  0.7500  0.7500  0.7500
O  0.0081  0.0081  0.4919
O  0.0081  0.4919  0.0081
O  0.0081  0.4919  0.4919
O  0.4919  0.0081  0.0081
O  0.4919  0.0081  0.4919
O  0.4919  0.4919  0.0081

Most intense lines, 2θ from 15° to 90°, in order of rising 2θ:
two_theta, Rel. int.
19.16, 16
22.16, 11
31.54, 100
37.16, 12
45.20, 38
49.51, 6
56.15, 39
65.84, 23
74.84, 17
83.46, 8